Structure and computed powder diffraction line list of Ca4Al6WO16 (a crystal structure in the Materials Project, relaxed with GGA+U; CuKα).
Lines closer than 0.1° are merged.

Structure:
a = 10.671 Å, b = 11.741 Å, c = 10.470 Å
α = 90.00°, β = 90.00°, γ = 90.00°
Space group Fmm2 (No. 42)
Inequivalent atoms, fractional coordinates:
1 Ca 0.000 0.193 0.000 (multiplicity 8)
2 Ca 0.191 0.000 0.665 (multiplicity 8)
3 Al 0.175 0.150 0.386 (multiplicity 16)
4 Al 0.250 0.250 0.166 (multiplicity 8)
5 W 0.000 0.000 0.241 (multiplicity 4)
6 O 0.000 0.126 0.368 (multiplicity 8)
7 O 0.124 0.109 0.158 (multiplicity 16)
8 O 0.156 0.171 0.554 (multiplicity 16)
9 O 0.164 0.188 0.822 (multiplicity 16)
10 O 0.192 0.000 0.361 (multiplicity 8)

Largest 10 diffraction maxima, in order of rising 2θ, 2θ = 15–90°:
(0 0 2), 16.94°, intensity 36.3; (0 2 2), 22.76°, intensity 100.0; (1 3 1), 25.70°, intensity 34.7; (3 1 1), 27.55°, intensity 88.1; (2 2 2), 28.31°, intensity 79.7; (3 3 1), 35.16°, intensity 42.9; (1 3 3), 35.48°, intensity 34.3; (2 0 4), 38.30°, intensity 44.6; (3 3 3), 43.04°, intensity 44.7; (3 5 1), 47.19°, intensity 44.7